Theoretical XRD peak list
Compound: La3Tl4BiS8
Radiation: CuKα
Structure: a structure optimized by DFT (GGA-PBE)
Intensities are scaled so that the largest is 100.

Peak list (10 most intense, 15 to 90 degrees two-theta, low angle first)
two_theta  Rel. int.  (hkl)
23.9  27  0 0 6
25.5  65  2 0 2
29.1  100  0 2 4
40.6  38  2 0 8
42.5  36  2 2 0
47.6  15  0 2 10
49.4  25  2 2 6
52.3  19  4 0 4
66.8  16  2 2 12
69.6  16  2 4 4

Cell and atoms:
Cell lengths 8.5014, 8.5014, 22.3350 Å; angles 90.00, 90.00, 120.00 degrees
Space group R-3m (No. 166, hexagonal axes)
Asymmetric unit:
La 0.0000 0.5000 0.0000 [9 per cell]
Tl 0.0000 0.0000 0.5000 [3 per cell]
Tl 0.0000 0.5000 0.5000 [9 per cell]
Bi 0.0000 0.0000 0.0000 [3 per cell]
S 0.0000 0.0000 0.2650 [6 per cell]
S 0.0029 0.5014 0.7354 [18 per cell]

***

Theoretical XRD peak list
Compound: Sc5C7
Radiation: CuKα
Structure: a structure optimized by DFT (GGA-PBE)
Intensities are scaled so that the largest is 100.

Peak list (10 most intense, 15 to 90 degrees two-theta, low angle first)
two_theta  Rel. int.  (hkl)
25.1  25  2 0 0
30.1  55  0 0 2
32.0  61  2 1 1
35.8  67  2 2 0
39.6  80  2 0 2
41.1  100  3 0 1
47.5  51  2 2 2
54.7  22  2 1 3
68.0  23  5 0 1
73.7  27  5 2 1

Cell and atoms:
Cell lengths 7.0886, 7.0886, 5.9285 Å; angles 90.00, 90.00, 90.00 degrees
Space group I4mm (No. 107)
Asymmetric unit:
Sc 0.0000 0.0000 0.0000 [2 per cell]
Sc 0.2059 0.2059 0.4349 [8 per cell]
C 0.0000 0.0000 0.6115 [2 per cell]
C 0.0000 0.3096 0.1311 [8 per cell]
C 0.0000 0.5000 0.1197 [4 per cell]

***

Theoretical XRD peak list
Compound: CaPm2PO8
Radiation: CuKα
Structure: a structure optimized by DFT (GGA-PBE)
Intensities are scaled so that the largest is 100.

Peak list (10 most intense, 15 to 90 degrees two-theta, low angle first)
two_theta  Rel. int.  (hkl)
23.9  100  0 1 1
33.5  60  1 0 2
34.7  69  1 1 0
40.5  17  0 0 3
42.6  48  2 0 1
45.5  13  1 0 3
49.0  41  0 2 2
54.4  21  1 1 3
56.1  20  1 2 1
61.5  21  2 1 2

Cell and atoms:
Cell lengths 5.1635, 5.1635, 6.6861 Å; angles 90.00, 90.00, 120.00 degrees
Space group P-3m1 (No. 164)
Asymmetric unit:
Ca 0.0000 0.0000 0.0000 [1 per cell]
Pm 0.3333 0.6667 0.3590 [2 per cell]
P 0.0000 0.0000 0.5000 [1 per cell]
O 0.1541 0.3083 0.6487 [6 per cell]
O 0.3333 0.6667 0.0263 [2 per cell]